# Pt5Se4
Simulated powder XRD pattern, λ = 1.5418 Å (Cu Kα). Input: a PBE-relaxed structure.

Cell and atoms:
abc: 6.6705 4.6987 11.2790
angles: 90.00 101.40 90.00
Space group P2_1/c (No. 14)
Symmetry-distinct sites (fractional):
Pt1 0.0000 0.0000 0.0000 [2 per cell]
Pt2 0.2231 0.1636 0.6736 [4 per cell]
Pt3 0.3315 0.6679 0.0020 [4 per cell]
Se1 0.0884 0.1350 0.3622 [4 per cell]
Se2 0.4858 0.5375 0.3560 [4 per cell]

Principal peaks in the range 2θ from 10° to 90°, low angle first:
Position (°2θ), d/Å, I (rel.), (hkl)
16.0, 5.528, 56, 0 0 2
26.8, 3.325, 63, 1 1 -2
29.9, 2.984, 100, 1 1 2
31.8, 2.818, 87, 1 1 -3
33.4, 2.684, 59, 2 1 0
35.7, 2.513, 77, 1 1 3
47.4, 1.918, 57, 2 2 -1
47.7, 1.905, 88, 3 0 -4
47.8, 1.903, 60, 3 0 2
49.5, 1.843, 90, 0 0 6